Diffraction record for Ba3PtPb. The powder diffractogram is calculated, not measured: it uses a crystal structure in Alexandria, relaxed with PBE and Cu Ka.
Lines closer than 0.1° are merged.

Crystal structure
Unit cell a=10.606 b=7.795 c=11.313 alpha=90.00 beta=114.87 gamma=90.00
Fractional coordinates of all 20 atoms:
1 Ba 0.108 0.066 0.368
2 Ba 0.108 0.434 0.868
3 Ba 0.208 0.581 0.558
4 Ba 0.208 0.919 0.058
5 Ba 0.371 0.082 0.769
6 Ba 0.371 0.418 0.269
7 Ba 0.629 0.582 0.731
8 Ba 0.629 0.918 0.231
9 Ba 0.792 0.081 0.942
10 Ba 0.792 0.419 0.442
11 Ba 0.892 0.566 0.132
12 Ba 0.892 0.934 0.632
13 Pt 0.077 0.241 0.610
14 Pt 0.077 0.259 0.110
15 Pt 0.923 0.741 0.890
16 Pt 0.923 0.759 0.390
17 Pb 0.441 0.677 0.931
18 Pb 0.441 0.823 0.431
19 Pb 0.559 0.177 0.569
20 Pb 0.559 0.323 0.069

Largest 12 diffraction maxima, by angle, 2θ = 5–70°:
two_theta  I/Imax
20.72  46
21.71  50
24.80  45
25.83  40
26.16  77
26.31  87
30.04  72
32.49  57
33.93  100
38.85  43
39.19  39
41.77  41